(1)
For Ba3Bi2AsAu6, a DFT-relaxed cell (GGA-PBE, Alexandria) gives the theoretical XRD peak list in this record (Cu Kα (weighted mean of Kα1 and Kα2)).

Principal peaks in the range 2θ from 15° to 90°, in order of rising 2θ:
- 18.0 deg, rel. 57
- 23.8 deg, rel. 29
- 27.1 deg, rel. 34
- 31.4 deg, rel. 27
- 32.7 deg, rel. 100
- 36.4 deg, rel. 90
- 39.8 deg, rel. 31
- 42.0 deg, rel. 30
- 43.0 deg, rel. 17
- 45.9 deg, rel. 16
- 56.0 deg, rel. 35
- 56.7 deg, rel. 32

abc: 6.570 6.570 9.887
angles: 90.00 90.00 120.00
Sites, in units of the cell vectors:
Ba 0.000 0.000 0.000
Ba 0.333 0.667 0.608
Ba 0.667 0.333 0.392
Bi 0.333 0.667 0.099
Bi 0.667 0.333 0.901
As 0.000 0.000 0.500
Au 0.156 0.313 0.296
Au 0.156 0.844 0.296
Au 0.313 0.156 0.704
Au 0.687 0.844 0.296
Au 0.844 0.156 0.704
Au 0.844 0.687 0.704

=====

(2)
For BaCe2As4Au, a DFT-relaxed cell (GGA-PBE, Alexandria) gives the theoretical XRD peak list in this record (Cu Kα (weighted mean of Kα1 and Kα2)).

Principal peaks in the range 2θ from 15° to 90°, in order of rising 2θ:
- 24.4 deg, rel. 14
- 25.0 deg, rel. 41
- 28.5 deg, rel. 31
- 30.5 deg, rel. 100
- 33.7 deg, rel. 26
- 35.2 deg, rel. 14
- 37.9 deg, rel. 16
- 39.5 deg, rel. 13
- 42.0 deg, rel. 40
- 42.3 deg, rel. 29
- 50.0 deg, rel. 15
- 50.4 deg, rel. 17

abc: 7.601 7.601 14.249
angles: 90.00 90.00 147.34
Sites, in units of the cell vectors:
Ba 0.117 0.883 0.750
Ba 0.883 0.117 0.250
Ce 0.370 0.630 0.559
Ce 0.370 0.630 0.941
Ce 0.630 0.370 0.059
Ce 0.630 0.370 0.441
As 0.000 0.000 0.000
As 0.000 0.000 0.500
As 0.261 0.739 0.108
As 0.261 0.739 0.392
As 0.445 0.555 0.750
As 0.555 0.445 0.250
As 0.739 0.261 0.608
As 0.739 0.261 0.892
Au 0.152 0.848 0.250
Au 0.848 0.152 0.750

=====

(3)
For Ba4As2P2Au, a DFT-relaxed cell (GGA-PBE, Alexandria) gives the theoretical XRD peak list in this record (Cu Kα (weighted mean of Kα1 and Kα2)).

Principal peaks in the range 2θ from 15° to 90°, in order of rising 2θ:
- 22.0 deg, rel. 16
- 24.1 deg, rel. 45
- 29.2 deg, rel. 100
- 29.7 deg, rel. 23
- 30.2 deg, rel. 67
- 31.7 deg, rel. 14
- 36.1 deg, rel. 23
- 38.3 deg, rel. 17
- 41.2 deg, rel. 21
- 42.5 deg, rel. 19
- 48.3 deg, rel. 13
- 60.2 deg, rel. 13

abc: 9.238 9.238 4.590
angles: 98.41 98.41 56.66
Sites, in units of the cell vectors:
Ba 0.101 0.620 0.748
Ba 0.380 0.899 0.252
Ba 0.620 0.101 0.748
Ba 0.899 0.380 0.252
As 0.212 0.212 0.813
As 0.788 0.788 0.187
P 0.324 0.324 0.205
P 0.676 0.676 0.795
Au 0.000 0.000 0.500

=====

(4)
For BaAsPb2Au, a DFT-relaxed cell (GGA-PBE, Alexandria) gives the theoretical XRD peak list in this record (Cu Kα (weighted mean of Kα1 and Kα2)).

Principal peaks in the range 2θ from 15° to 90°, in order of rising 2θ:
- 25.4 deg, rel. 71
- 25.7 deg, rel. 46
- 27.6 deg, rel. 50
- 28.0 deg, rel. 94
- 35.9 deg, rel. 100
- 38.0 deg, rel. 57
- 39.7 deg, rel. 45
- 40.5 deg, rel. 51
- 40.8 deg, rel. 37
- 46.3 deg, rel. 29
- 57.0 deg, rel. 28
- 70.8 deg, rel. 28

abc: 7.973 7.973 9.004
angles: 90.00 90.00 145.44
Sites, in units of the cell vectors:
Ba 0.052 0.948 0.750
Ba 0.948 0.052 0.250
As 0.500 0.500 0.000
As 0.500 0.500 0.500
Pb 0.320 0.680 0.564
Pb 0.320 0.680 0.936
Pb 0.680 0.320 0.064
Pb 0.680 0.320 0.436
Au 0.229 0.771 0.250
Au 0.771 0.229 0.750